1.
Calculated powder X-ray diffraction pattern of VInO4 for Cu Kα, 1.54184 Å, from DFT lattice parameters and positions (PBE+U).

Atomic structure:
```
12
Lattice="4.7872 0.0000 0.0000 0.0000 5.7270 0.0000 -0.2022 0.0000 5.0301" Properties=species:S:1:pos:R:3 pbc="T T T"
V -0.0505 0.9932 1.2575
V -0.1516 4.7337 3.7726
In 2.2420 1.7513 3.7726
In 2.3430 3.9757 1.2575
O 0.8098 0.5569 4.7786
O 0.9109 5.1701 2.2635
O 1.1203 2.1416 1.9522
O 1.0192 3.5854 4.4672
O 3.5658 2.1416 0.5629
O 3.4647 3.5854 3.0779
O 3.6741 0.5569 2.7666
O 3.7752 5.1701 0.2516
```

The 12 most intense peaks (2θ = 15–90°), most intense first:
- 29.68°, rel. 100
- 30.59°, rel. 91
- 24.24°, rel. 36
- 51.53°, rel. 24
- 35.70°, rel. 23
- 23.54°, rel. 22
- 31.24°, rel. 21
- 18.55°, rel. 20
- 36.09°, rel. 18
- 53.68°, rel. 18
- 51.67°, rel. 17
- 48.15°, rel. 17

2.
Calculated powder X-ray diffraction pattern of InWO5 for Cu Kα, 1.54184 Å, from DFT lattice parameters and positions (PBE+U).

Atomic structure:
```
14
Lattice="3.8064 0.0000 0.0000 0.0000 6.6187 0.0000 0.0000 0.0000 7.9422" Properties=species:S:1:pos:R:3 pbc="T T T"
In 0.0000 0.0000 0.0000
In 1.9032 3.3093 3.9711
W 0.0000 0.0000 3.9711
W 1.9032 3.3093 0.0000
O 0.0000 0.0000 2.0712
O 0.0000 0.0000 5.8710
O 0.0000 1.9661 3.9711
O 0.0000 3.3093 0.0000
O 0.0000 4.6525 3.9711
O 1.9032 0.0000 3.9711
O 1.9032 1.3432 0.0000
O 1.9032 3.3093 1.8999
O 1.9032 3.3093 6.0423
O 1.9032 5.2755 0.0000
```

The 12 most intense peaks (2θ = 15–90°), most intense first:
- 26.99°, rel. 100
- 35.34°, rel. 61
- 22.39°, rel. 55
- 53.87°, rel. 29
- 47.64°, rel. 17
- 53.25°, rel. 16
- 45.69°, rel. 12
- 68.14°, rel. 11
- 17.44°, rel. 10
- 53.38°, rel. 10
- 47.79°, rel. 10
- 60.80°, rel. 10

3.
Calculated powder X-ray diffraction pattern of In2WO6 for Cu Kα, 1.54184 Å, from DFT lattice parameters and positions (PBE+U).

Atomic structure:
```
36
Lattice="7.5052 0.0000 0.0000 0.0000 5.1808 0.0000 -1.3878 0.0000 11.8419" Properties=species:S:1:pos:R:3 pbc="T T T"
In -0.3469 1.0720 2.9605
In -1.0408 4.1088 8.8814
In 0.7362 1.3753 10.6184
In 1.4301 3.8055 4.6975
In 3.4056 1.4624 2.9605
In 2.7117 3.7184 8.8814
In 4.6873 1.3753 7.1444
In 5.3812 3.8055 1.2235
W 0.9576 1.1889 7.2079
W 1.6515 3.9919 1.2869
W 4.4659 1.1889 10.5550
W 5.1598 3.9919 4.6341
O -0.8393 0.4583 7.3414
O -0.1454 4.7225 1.4204
O 0.5940 2.0506 5.6207
O -0.0999 3.1302 11.5417
O 0.4389 2.5442 8.6382
O 1.1328 2.6366 2.7172
O 1.8517 0.0095 3.1145
O 1.1578 5.1713 9.0354
O 2.4847 0.3415 0.6244
O 1.7908 4.8393 6.5454
O 2.6819 2.1221 7.4207
O 3.3758 3.0587 1.4997
O 2.7416 2.1221 10.3422
O 3.4355 3.0587 4.4212
O 4.3266 0.3415 5.2965
O 3.6327 4.8393 11.2175
O 4.9595 0.0095 2.8065
O 4.2656 5.1713 8.7275
O 4.9846 2.5442 9.1247
O 5.6785 2.6366 3.2038
O 6.2173 2.0506 0.3003
O 5.5234 3.1302 6.2212
O 6.2628 0.4583 10.4215
O 6.9567 4.7225 4.5006
```

The 12 most intense peaks (2θ = 15–90°), most intense first:
- 28.43°, rel. 100
- 29.78°, rel. 78
- 31.20°, rel. 30
- 60.06°, rel. 27
- 51.19°, rel. 26
- 34.63°, rel. 22
- 23.87°, rel. 18
- 36.50°, rel. 16
- 54.92°, rel. 15
- 54.79°, rel. 14
- 41.08°, rel. 14
- 48.87°, rel. 14

What did the second record say?
Calculated powder X-ray diffraction pattern of InWO5 for Cu Kα, 1.54184 Å, from DFT lattice parameters and positions (PBE+U).

Atomic structure:
```
14
Lattice="3.8064 0.0000 0.0000 0.0000 6.6187 0.0000 0.0000 0.0000 7.9422" Properties=species:S:1:pos:R:3 pbc="T T T"
In 0.0000 0.0000 0.0000
In 1.9032 3.3093 3.9711
W 0.0000 0.0000 3.9711
W 1.9032 3.3093 0.0000
O 0.0000 0.0000 2.0712
O 0.0000 0.0000 5.8710
O 0.0000 1.9661 3.9711
O 0.0000 3.3093 0.0000
O 0.0000 4.6525 3.9711
O 1.9032 0.0000 3.9711
O 1.9032 1.3432 0.0000
O 1.9032 3.3093 1.8999
O 1.9032 3.3093 6.0423
O 1.9032 5.2755 0.0000
```

The 12 most intense peaks (2θ = 15–90°), most intense first:
- 26.99°, rel. 100
- 35.34°, rel. 61
- 22.39°, rel. 55
- 53.87°, rel. 29
- 47.64°, rel. 17
- 53.25°, rel. 16
- 45.69°, rel. 12
- 68.14°, rel. 11
- 17.44°, rel. 10
- 53.38°, rel. 10
- 47.79°, rel. 10
- 60.80°, rel. 10